Structure and calculated PXRD pattern of SmAg2F8 (the GGA-PBE geometry in Alexandria; Cu Ka).
Lines closer than 0.1° are merged.

Top 10 peaks for 10 to 90 degrees two-theta, by angle:
- d 3.556, I 100, (1 1 0)
- d 3.467, I 81, (0 1 1)
- d 2.482, I 17, (2 0 1)
- d 2.053, I 21, (3 0 0)
- d 2.036, I 39, (1 2 1)
- d 1.985, I 19, (1 0 2)
- d 1.778, I 25, (2 2 0)
- d 1.733, I 19, (0 2 2)
- d 1.582, I 16, (4 -1 1)
- d 1.558, I 19, (3 -1 2)

```
data_SmAg2F8
_chemical_formula_sum 'Sm1 Ag2 F8'
_symmetry_space_group_name_H-M 'P -3'
_symmetry_Int_Tables_number 147
_symmetry_space_group_name_Hall '-P 3'
_cell_length_a 7.1125
_cell_length_b 7.1125
_cell_length_c 4.1942
_cell_angle_alpha 90.00
_cell_angle_beta 90.00
_cell_angle_gamma 120.00
loop_
_atom_site_label
_atom_site_type_symbol
_atom_site_fract_x
_atom_site_fract_y
_atom_site_fract_z
Sm1 Sm 0.0000 0.0000 0.0000
Ag1 Ag 0.3333 0.6667 0.2687
F1 F 0.1577 0.8402 0.2676
F2 F 0.3333 0.6667 0.7690
```